For V4Tc2Mo3, DFT lattice parameters and positions (GGA-PBE) gives the theoretical X-ray powder pattern in this record (copper Kα).
Kinematic intensities with the Lorentz-polarization factor, no thermal factor.

Cell and atoms:
```
V4Tc2Mo3
1.0
5.7352 -4.8875 0.0000
5.7352 4.8875 0.0000
-0.1627 0.0000 4.7553
V Tc Mo
8 4 6
Direct
0.1626 0.5070 0.4683 V
0.1675 0.6921 0.9891 V
0.3079 0.8325 0.5109 V
0.4930 0.8374 0.0317 V
0.5070 0.1626 0.9683 V
0.6921 0.1675 0.4891 V
0.8325 0.3079 0.0109 V
0.8374 0.4930 0.5317 V
0.1752 0.3629 0.9685 Tc
0.3629 0.1752 0.4685 Tc
0.6371 0.8248 0.5315 Tc
0.8248 0.6371 0.0315 Tc
0.0201 0.1705 0.4925 Mo
0.1705 0.0201 0.9925 Mo
0.4994 0.5006 0.7500 Mo
0.5006 0.4994 0.2500 Mo
0.8295 0.9799 0.0075 Mo
0.9799 0.8295 0.5075 Mo
```

Main lines, low angle first (2θ = 10–80°):
2θ = 18.15°, I = 31
2θ = 30.18°, I = 20
2θ = 36.23°, I = 32
2θ = 37.84°, I = 63
2θ = 40.09°, I = 82
2θ = 40.41°, I = 71
2θ = 40.66°, I = 95
2θ = 41.44°, I = 100
2θ = 44.31°, I = 62
2θ = 44.81°, I = 38
2θ = 71.33°, I = 19
2θ = 76.91°, I = 22

For VTcMo4, DFT lattice parameters and positions (GGA-PBE) gives the theoretical X-ray powder pattern in this record (copper Kα).
Kinematic intensities with the Lorentz-polarization factor, no thermal factor.

Cell and atoms:
```
VTcMo4
1.0
4.9355 -1.5627 0.0000
4.9355 1.5627 0.0000
-1.9782 0.0000 5.9297
V Tc Mo
1 1 4
Direct
0.0000 0.0000 0.0000 V
0.0000 0.0000 0.5000 Tc
0.3329 0.3329 0.6696 Mo
0.3354 0.3354 0.1646 Mo
0.6646 0.6646 0.8354 Mo
0.6671 0.6671 0.3304 Mo
```

Main lines, low angle first (2θ = 10–80°):
2θ = 14.94°, I = 1
2θ = 18.96°, I = 1
2θ = 20.10°, I = 1
2θ = 30.14°, I = 1
2θ = 32.38°, I = 1
2θ = 40.85°, I = 100
2θ = 59.15°, I = 16
2θ = 74.38°, I = 32

For VTcMoW, DFT lattice parameters and positions (GGA-PBE) gives the theoretical X-ray powder pattern in this record (copper Kα).
Kinematic intensities with the Lorentz-polarization factor, no thermal factor.

Cell and atoms:
```
VTcMoW
1.0
3.1083 0.0000 0.0000
0.0000 3.1083 0.0000
0.0000 0.0000 6.2131
V Tc Mo W
1 1 1 1
Direct
0.0000 0.0000 0.0000 V
0.5000 0.5000 0.7562 Tc
0.5000 0.5000 0.2425 Mo
0.0000 0.0000 0.5010 W
```

Main lines, low angle first (2θ = 10–80°):
2θ = 14.26°, I = 17
2θ = 28.73°, I = 1
2θ = 32.20°, I = 14
2θ = 41.08°, I = 100
2θ = 43.69°, I = 7
2θ = 53.14°, I = 2
2θ = 59.49°, I = 16
2θ = 61.52°, I = 5
2θ = 69.26°, I = 3
2θ = 74.84°, I = 33
2θ = 76.66°, I = 2

For Tc2MoW, DFT lattice parameters and positions (GGA-PBE) gives the theoretical X-ray powder pattern in this record (copper Kα).
Kinematic intensities with the Lorentz-polarization factor, no thermal factor.

Cell and atoms:
```
Tc2MoW
1.0
3.1255 0.0000 0.0000
0.0000 3.1255 0.0000
0.0000 0.0000 6.3246
Tc Mo W
2 1 1
Direct
0.0000 0.0000 0.0000 Tc
0.5000 0.5000 0.2783 Tc
0.5000 0.5000 0.7696 Mo
0.0000 0.0000 0.5087 W
```

Main lines, low angle first (2θ = 10–80°):
2θ = 14.00°, I = 10
2θ = 28.22°, I = 3
2θ = 28.56°, I = 4
2θ = 31.94°, I = 5
2θ = 40.58°, I = 100
2θ = 40.83°, I = 50
2θ = 43.37°, I = 3
2θ = 50.37°, I = 2
2θ = 58.36°, I = 8
2θ = 59.12°, I = 17
2θ = 73.67°, I = 16
2θ = 74.17°, I = 33

For Tc2MoW, DFT lattice parameters and positions (GGA-PBE) gives the theoretical X-ray powder pattern in this record (copper Kα).
Kinematic intensities with the Lorentz-polarization factor, no thermal factor.

Cell and atoms:
```
Tc2MoW
1.0
-1.9872 1.9872 3.8967
1.9872 -1.9872 3.8967
1.9872 1.9872 -3.8967
Tc Mo W
2 1 1
Direct
0.2500 0.7500 0.5000 Tc
0.7500 0.2500 0.5000 Tc
0.0000 0.0000 0.0000 Mo
0.5000 0.5000 0.0000 W
```

Main lines, low angle first (2θ = 10–80°):
2θ = 22.82°, I = 3
2θ = 25.15°, I = 9
2θ = 31.84°, I = 2
2θ = 39.54°, I = 100
2θ = 41.53°, I = 3
2θ = 45.65°, I = 33
2θ = 46.62°, I = 16
2θ = 51.63°, I = 1
2θ = 52.83°, I = 3
2θ = 63.41°, I = 2
2θ = 66.55°, I = 11
2θ = 67.30°, I = 20

For TcMo2W8, DFT lattice parameters and positions (GGA-PBE) gives the theoretical X-ray powder pattern in this record (copper Kα).
Kinematic intensities with the Lorentz-polarization factor, no thermal factor.

Cell and atoms:
```
TcMo2W8
1.0
5.1941 0.0000 0.0000
-2.4246 4.5936 0.0000
-1.1701 -1.9682 7.7775
Tc Mo W
1 2 8
Direct
0.0000 0.0000 0.0000 Tc
0.2515 0.7479 0.5002 Mo
0.7485 0.2521 0.4998 Mo
0.0484 0.5378 0.8373 W
0.0907 0.0901 0.3370 W
0.4190 0.4189 0.6769 W
0.4629 0.9511 0.1630 W
0.5371 0.0489 0.8370 W
0.5810 0.5811 0.3231 W
0.9093 0.9099 0.6630 W
0.9516 0.4622 0.1627 W
```

Main lines, low angle first (2θ = 10–80°):
2θ = 22.87°, I = 12
2θ = 23.03°, I = 25
2θ = 39.26°, I = 18
2θ = 39.89°, I = 36
2θ = 40.26°, I = 100
2θ = 40.54°, I = 74
2θ = 41.51°, I = 63
2θ = 41.91°, I = 11
2θ = 58.20°, I = 24
2θ = 71.84°, I = 13
2θ = 72.97°, I = 11
2θ = 74.40°, I = 16

For Tc2MoW4, DFT lattice parameters and positions (GGA-PBE) gives the theoretical X-ray powder pattern in this record (copper Kα).
Kinematic intensities with the Lorentz-polarization factor, no thermal factor.

Cell and atoms:
```
Tc2MoW4
1.0
6.1697 0.0000 0.0000
0.0000 3.1234 6.1515
0.0000 -3.1234 6.1515
Tc Mo W
4 2 8
Direct
0.0000 0.0000 0.0000 Tc
0.0000 0.2459 0.2459 Tc
0.0000 0.4995 0.4995 Tc
0.5000 0.0074 0.0074 Tc
0.5000 0.2538 0.2538 Mo
0.5000 0.7544 0.7544 Mo
0.2505 0.3918 0.8642 W
0.2505 0.8642 0.3918 W
0.2511 0.1274 0.6268 W
0.2511 0.6268 0.1274 W
0.7489 0.1274 0.6268 W
0.7489 0.6268 0.1274 W
0.7495 0.3918 0.8642 W
0.7495 0.8642 0.3918 W
```

Main lines, low angle first (2θ = 10–80°):
2θ = 28.58°, I = 11
2θ = 28.99°, I = 22
2θ = 41.16°, I = 100
2θ = 41.46°, I = 49
2θ = 51.13°, I = 10
2θ = 59.16°, I = 8
2θ = 59.98°, I = 8
2θ = 60.17°, I = 8
2θ = 67.97°, I = 4
2θ = 74.81°, I = 17
2θ = 75.35°, I = 17
2θ = 75.48°, I = 17

For TcMo6W, DFT lattice parameters and positions (GGA-PBE) gives the theoretical X-ray powder pattern in this record (copper Kα).
Kinematic intensities with the Lorentz-polarization factor, no thermal factor.

Cell and atoms:
```
TcMo6W
1.0
5.0287 0.0000 0.0000
0.0098 5.0373 0.0000
0.0094 0.0057 5.0387
Tc Mo W
1 6 1
Direct
0.0000 0.0000 0.0000 Tc
0.0005 0.4994 0.7509 Mo
0.9995 0.5006 0.2491 Mo
0.2492 0.9997 0.5008 Mo
0.4992 0.7507 0.0000 Mo
0.5008 0.2493 0.0000 Mo
0.7508 0.0003 0.4992 Mo
0.5000 0.5000 0.5000 W
```

Main lines, low angle first (2θ = 10–80°):
2θ = 17.62°, I = 9
2θ = 25.01°, I = 9
2θ = 35.66°, I = 59
2θ = 40.03°, I = 100
2θ = 40.11°, I = 20
2θ = 44.03°, I = 87
2θ = 44.10°, I = 44
2θ = 66.97°, I = 17
2θ = 69.80°, I = 16
2θ = 69.91°, I = 33
2θ = 70.00°, I = 16
2θ = 75.48°, I = 14

For Tc2Mo8W3, DFT lattice parameters and positions (GGA-PBE) gives the theoretical X-ray powder pattern in this record (copper Kα).
Kinematic intensities with the Lorentz-polarization factor, no thermal factor.

Cell and atoms:
```
Tc2Mo8W3
1.0
3.5501 -6.8629 0.0000
3.5501 6.8629 0.0000
0.0000 0.0000 4.5600
Tc Mo W
2 8 3
Direct
0.2193 0.7807 0.0000 Tc
0.7807 0.2193 0.0000 Tc
0.1233 0.8767 0.5000 Mo
0.1786 0.4088 0.0000 Mo
0.3311 0.6689 0.5000 Mo
0.4088 0.1786 0.0000 Mo
0.5912 0.8214 0.0000 Mo
0.6689 0.3311 0.5000 Mo
0.8214 0.5912 0.0000 Mo
0.8767 0.1233 0.5000 Mo
0.0000 0.0000 0.0000 W
0.2956 0.2956 0.5000 W
0.7044 0.7044 0.5000 W
```

Main lines, low angle first (2θ = 10–80°):
2θ = 12.90°, I = 25
2θ = 28.30°, I = 19
2θ = 34.58°, I = 14
2θ = 38.60°, I = 23
2θ = 39.52°, I = 44
2θ = 40.40°, I = 45
2θ = 41.62°, I = 100
2θ = 51.51°, I = 15
2θ = 56.44°, I = 15
2θ = 66.78°, I = 11
2θ = 73.13°, I = 19
2θ = 78.72°, I = 17

For ZnTc2Mo, DFT lattice parameters and positions (GGA-PBE) gives the theoretical X-ray powder pattern in this record (copper Kα).
Kinematic intensities with the Lorentz-polarization factor, no thermal factor.

Cell and atoms:
```
ZnTc2Mo
1.0
2.6649 0.0000 0.0000
0.0000 4.3399 0.0000
-0.9338 0.0000 5.1429
Zn Tc Mo
1 2 1
Direct
0.0000 0.0000 0.0000 Zn
0.2940 0.5000 0.7573 Tc
0.7060 0.5000 0.2427 Tc
0.5000 0.0000 0.5000 Mo
```

Main lines, low angle first (2θ = 10–80°):
2θ = 26.88°, I = 2
2θ = 34.20°, I = 3
2θ = 40.79°, I = 72
2θ = 41.36°, I = 100
2θ = 41.62°, I = 34
2θ = 58.86°, I = 12
2θ = 60.12°, I = 21
2θ = 73.68°, I = 6
2θ = 74.65°, I = 23
2θ = 75.25°, I = 5
2θ = 75.39°, I = 11
2θ = 75.79°, I = 20

For ZnTc2Mo, DFT lattice parameters and positions (GGA-PBE) gives the theoretical X-ray powder pattern in this record (copper Kα).
Kinematic intensities with the Lorentz-polarization factor, no thermal factor.

Cell and atoms:
```
ZnTc2Mo
1.0
1.3816 0.7977 9.0586
-1.3816 0.7977 9.0586
0.0000 -1.5953 9.0586
Zn Tc Mo
1 2 1
Direct
0.0000 0.0000 0.0000 Zn
0.2496 0.2496 0.2496 Tc
0.5051 0.5051 0.5051 Tc
0.7526 0.7526 0.7526 Mo
```

Main lines, low angle first (2θ = 10–80°):
2θ = 19.60°, I = 1
2θ = 37.74°, I = 1
2θ = 38.19°, I = 1
2θ = 39.80°, I = 33
2θ = 39.94°, I = 100
2θ = 44.47°, I = 1
2θ = 46.42°, I = 64
2θ = 50.37°, I = 1
2θ = 53.30°, I = 1
2θ = 67.64°, I = 19
2θ = 67.83°, I = 20
2θ = 77.80°, I = 1

For ZrTcMo14, DFT lattice parameters and positions (GGA-PBE) gives the theoretical X-ray powder pattern in this record (copper Kα).
Kinematic intensities with the Lorentz-polarization factor, no thermal factor.

Cell and atoms:
```
ZrTcMo14
1.0
3.1735 -4.4983 0.0000
3.1735 4.4983 0.0000
0.0000 0.0000 8.9937
Zr Tc Mo
1 1 14
Direct
0.0000 0.0000 0.0000 Zr
0.5000 0.5000 0.0000 Tc
0.0000 0.0000 0.5000 Mo
0.0000 0.5000 0.0000 Mo
0.0000 0.5000 0.5000 Mo
0.2512 0.7488 0.2505 Mo
0.2512 0.7488 0.7495 Mo
0.2526 0.2526 0.2556 Mo
0.2526 0.2526 0.7444 Mo
0.5000 0.0000 0.0000 Mo
0.5000 0.0000 0.5000 Mo
0.5000 0.5000 0.5000 Mo
0.7474 0.7474 0.2556 Mo
0.7474 0.7474 0.7444 Mo
0.7488 0.2512 0.2505 Mo
0.7488 0.2512 0.7495 Mo
```

Main lines, low angle first (2θ = 10–80°):
2θ = 40.13°, I = 100
2θ = 58.00°, I = 11
2θ = 58.14°, I = 5
2θ = 72.90°, I = 27
2θ = 72.97°, I = 5